Simulated X-ray diffraction stick pattern of CdCu2Pd4 for CuKα, from a structure optimized by DFT (PBE).

Main lines, by angle (2θ = 5–70°):
| 2theta | Rel. int. | h k l |
| --- | --- | --- |
| 36.56 | 50 | 1 2 -1 |
| 39.18 | 100 | 2 0 1 |
| 40.38 | 84 | 1 0 -3 |
| 41.56 | 68 | 3 0 -2 |
| 41.93 | 50 | 1 2 1 |
| 42.85 | 46 | 2 2 -1 |

Structural model:
Lattice parameters (Å, degrees): 6.6978 5.4419 6.7553 90.00 116.73 90.00
Space group P2_1/m (No. 11)
Asymmetric unit:
Cd1 0.2339 0.2500 0.0704 [2 per cell]
Cu1 0.2677 0.7500 0.0559 [2 per cell]
Cu2 0.4865 0.2500 0.5067 [2 per cell]
Pd1 0.0532 0.2500 0.3570 [2 per cell]
Pd2 0.0997 0.7500 0.3384 [2 per cell]
Pd3 0.3484 0.0005 0.7564 [4 per cell]